No. 1
Simulated X-ray diffraction stick pattern
Compound: MgAsH16NO10
Radiation: a wavelength of 1.5418 Å
Structure: DFT lattice parameters and positions (GGA-PBE)

Crystal structure
```
MgAsH16NO10
1.0
7.131 0.000 0.000
0.000 6.173 0.000
-7.053 0.000 11.512
Mg As H N O
2 2 32 2 20
Cartesian
0.000 0.895 0.000
-3.526 5.278 5.756
0.041 3.001 7.222
3.568 3.172 1.466
-4.332 2.927 7.080
-0.805 3.246 1.324
-5.583 1.806 9.312
-2.057 4.367 3.556
-2.715 2.923 7.078
0.811 3.250 1.322
-4.765 2.121 10.663
-1.238 4.052 4.907
-0.785 0.065 4.347
-4.311 6.108 10.103
0.132 0.743 3.118
-3.394 5.430 8.874
-1.836 0.662 7.297
1.690 5.510 1.541
0.055 1.554 4.647
-3.471 4.619 10.404
2.238 0.824 1.679
-1.288 5.349 7.435
0.892 0.049 4.426
-2.635 6.123 10.182
-1.411 1.807 9.307
2.116 4.366 3.551
-2.201 2.134 10.670
1.325 4.038 4.914
4.885 0.810 1.665
1.359 5.362 7.421
3.597 1.271 3.861
0.070 4.902 9.617
1.904 0.677 7.281
5.431 5.495 1.525
3.609 1.867 5.348
0.082 4.306 11.104
0.070 0.626 4.144
-3.457 5.547 9.900
0.004 2.903 0.823
-3.523 3.270 6.579
-5.450 1.494 10.268
-1.924 4.679 4.512
1.413 0.296 1.418
-2.113 5.877 7.174
-1.388 2.190 7.746
2.139 3.983 1.990
-3.484 3.060 11.256
0.043 3.113 5.500
-1.513 1.512 10.272
2.013 4.661 4.516
3.560 1.591 2.163
0.034 4.582 7.919
1.474 2.202 7.752
5.001 3.971 1.996
5.696 0.279 1.378
2.170 5.893 7.134
3.612 1.022 4.830
0.085 5.151 10.586
```

Main lines, by angle (5° ≤ 2θ ≤ 70°):
- d = 6.063 Å, 2θ 14.61, rel. 44
- d = 5.756 Å, 2θ 15.39, rel. 49
- d = 4.325 Å, 2θ 20.53, rel. 100
- d = 4.210 Å, 2θ 21.10, rel. 38
- d = 2.982 Å, 2θ 29.97, rel. 30
- d = 2.723 Å, 2θ 32.89, rel. 49

***

No. 2
Simulated X-ray diffraction stick pattern
Compound: DyNi5Hg
Radiation: a wavelength of 1.5418 Å
Structure: DFT lattice parameters and positions (GGA-PBE)

Crystal structure
```
DyNi5Hg
1.0
8.102 0.000 0.000
0.000 4.840 0.000
0.000 0.000 10.330
Dy Ni Hg
4 20 4
Cartesian
2.005 1.210 0.635
2.046 3.630 5.800
6.056 1.210 4.530
6.097 3.630 9.694
0.393 3.630 1.145
0.552 4.839 3.239
0.552 2.421 3.239
0.644 1.210 5.338
1.524 1.210 7.630
2.527 3.630 2.465
3.407 3.630 0.173
3.499 0.001 8.404
3.499 2.419 8.404
3.658 1.210 6.310
4.444 3.630 4.020
4.603 4.839 1.925
4.603 2.421 1.925
4.695 1.210 10.156
5.575 1.210 7.864
6.578 3.630 2.700
7.458 3.630 4.991
7.550 0.001 7.090
7.550 2.419 7.090
7.709 1.210 9.185
1.101 3.630 8.941
2.950 1.210 3.776
5.152 3.630 6.553
7.001 1.210 1.388
```

Main lines, by angle (5° ≤ 2θ ≤ 70°):
- d = 2.806 Å, 2θ 31.90, rel. 51
- d = 2.420 Å, 2θ 37.15, rel. 50
- d = 2.306 Å, 2θ 39.05, rel. 68
- d = 2.299 Å, 2θ 39.18, rel. 100
- d = 1.986 Å, 2θ 45.68, rel. 84
- d = 1.923 Å, 2θ 47.26, rel. 49

***

No. 3
Simulated X-ray diffraction stick pattern
Compound: HgH2NCl
Radiation: a wavelength of 1.5418 Å
Structure: DFT lattice parameters and positions (GGA-PBE)

Crystal structure
```
HgH2NCl
1.0
6.901 0.000 0.000
0.000 4.451 0.000
0.000 0.000 5.167
Hg H N Cl
2 4 2 2
Cartesian
0.000 0.000 0.000
3.451 0.000 0.000
1.725 0.826 1.845
1.725 3.625 1.845
5.176 0.826 3.322
5.176 3.625 3.322
1.725 0.000 1.222
5.176 0.000 3.946
1.725 2.225 3.703
5.176 2.225 1.464
```

Main lines, by angle (5° ≤ 2θ ≤ 70°):
- d = 5.167 Å, 2θ 17.16, rel. 100
- d = 4.451 Å, 2θ 19.95, rel. 62
- d = 3.372 Å, 2θ 26.43, rel. 88
- d = 2.870 Å, 2θ 31.17, rel. 58
- d = 2.727 Å, 2θ 32.84, rel. 57
- d = 2.412 Å, 2θ 37.28, rel. 62

***

No. 4
Simulated X-ray diffraction stick pattern
Compound: K2Zr3TlS8
Radiation: a wavelength of 1.5418 Å
Structure: DFT lattice parameters and positions (GGA-PBE)

Crystal structure
```
K2Zr3TlS8
1.0
3.858 2.227 7.897
-3.858 2.227 7.897
0.000 -4.455 7.897
K Zr Tl S
2 3 1 8
Cartesian
0.000 0.000 0.000
0.000 0.000 8.243
0.000 -2.208 12.365
-1.913 1.104 12.365
1.913 1.104 12.365
0.000 0.000 19.755
0.000 -2.142 5.808
-1.855 1.071 5.808
0.000 0.000 3.054
-1.697 -0.980 10.824
1.855 1.071 5.808
0.000 0.000 13.804
1.697 -0.980 10.824
0.000 1.959 10.824
```

Main lines, by angle (5° ≤ 2θ ≤ 70°):
- d = 7.897 Å, 2θ 11.21, rel. 100
- d = 3.308 Å, 2θ 26.95, rel. 27
- d = 2.910 Å, 2θ 30.72, rel. 52
- d = 2.378 Å, 2θ 37.84, rel. 25
- d = 2.216 Å, 2θ 40.71, rel. 16
- d = 1.930 Å, 2θ 47.10, rel. 24

***

No. 5
Simulated X-ray diffraction stick pattern
Compound: CaSmF
Radiation: a wavelength of 1.5418 Å
Structure: DFT lattice parameters and positions (GGA-PBE)

Crystal structure
```
CaSmF
1.0
3.722 0.000 0.000
-1.861 3.223 0.000
0.000 0.000 12.196
Ca Sm F
2 2 2
Cartesian
0.000 0.000 0.000
0.000 0.000 6.098
0.000 2.149 3.031
0.000 2.149 9.165
1.861 1.074 4.754
1.861 1.074 7.443
```

Main lines, by angle (5° ≤ 2θ ≤ 70°):
- d = 6.098 Å, 2θ 14.53, rel. 34
- d = 3.223 Å, 2θ 27.68, rel. 32
- d = 2.850 Å, 2θ 31.39, rel. 100
- d = 2.215 Å, 2θ 40.74, rel. 34
- d = 1.861 Å, 2θ 48.95, rel. 20
- d = 1.719 Å, 2θ 53.28, rel. 21

***

No. 6
Simulated X-ray diffraction stick pattern
Compound: KV2S3
Radiation: a wavelength of 1.5418 Å
Structure: DFT lattice parameters and positions (GGA-PBE)

Crystal structure
```
KV2S3
1.0
1.705 -7.569 0.000
1.705 7.569 0.000
0.000 0.000 9.110
K V S
2 4 6
Cartesian
1.705 3.783 6.833
1.705 -3.783 2.278
0.000 0.000 0.000
0.000 0.000 4.555
1.705 0.411 2.278
1.705 -0.411 6.833
1.705 6.455 2.278
1.705 1.705 0.450
1.705 1.705 4.105
1.705 -1.705 5.005
1.705 -1.705 8.660
1.705 -6.455 6.833
```

Main lines, by angle (5° ≤ 2θ ≤ 70°):
- d = 7.569 Å, 2θ 11.69, rel. 100
- d = 2.821 Å, 2θ 31.72, rel. 13
- d = 2.699 Å, 2θ 33.20, rel. 50
- d = 2.401 Å, 2θ 37.45, rel. 36
- d = 2.278 Å, 2θ 39.57, rel. 21
- d = 2.028 Å, 2θ 44.70, rel. 37